(1)
Y2Al3Ga3B8O24: theoretical PXRD pattern (Cu Kα X-rays), based on a DFT-relaxed cell (PBE, the Materials Project).

Structural model:
```
40
Lattice="5.9841 0.0000 0.0000 -1.4645 5.8185 0.0000 -1.5836 -2.0679 10.9998" Properties=species:S:1:pos:R:3 pbc="T T T"
Y 0.0000 0.0000 0.0000
Y 1.4691 1.8738 5.4993
Al -0.3925 2.9129 8.5386
Al 4.1284 1.0301 3.0589
Al 4.7941 -0.7174 5.4900
Ga -0.0070 3.4464 2.4779
Ga 0.2930 1.1449 10.9884
Ga 2.9348 -0.5005 7.9564
B -1.5246 2.3054 5.8046
B -0.0585 -0.0982 8.2270
B 1.1481 0.6230 2.7535
B 0.3210 4.6863 5.2052
B 2.9992 0.4175 0.3101
B 2.9992 3.8519 2.7777
B 2.6173 2.5000 8.2504
B 3.2653 0.7380 10.6986
O -1.1277 -0.3730 7.3875
O -2.2444 2.8914 8.9431
O -0.0492 3.0801 0.5047
O 0.0263 1.4388 2.7823
O -0.4395 5.2819 2.0151
O -0.4874 2.4485 6.7067
O 0.6670 -0.3467 5.3478
O -0.0642 1.0543 9.0032
O 0.4391 3.6071 4.3554
O 1.9309 1.2814 0.1673
O 1.0078 -0.9857 8.2757
O -0.0465 3.0705 10.4581
O 2.2704 1.0108 3.4478
O 1.9130 3.5884 1.9594
O 2.9077 -0.8455 5.9657
O 1.4973 3.3183 8.2714
O 2.4975 1.3413 7.5105
O 4.0281 0.5662 1.2137
O 2.1773 1.5661 10.8259
O 3.0083 4.9918 3.5749
O 3.3760 -0.3331 9.8465
O 3.4245 3.2080 5.6449
O 4.0599 2.9555 2.7777
O 4.4596 1.1684 4.9953
```

Main lines, low angle first (10° ≤ 2θ ≤ 90°):
2θ (°), I/Imax
16.14, 25
18.77, 31
24.84, 97
31.30, 43
32.54, 100
32.62, 53
38.08, 31
41.60, 15
46.87, 34
53.60, 19
54.24, 19
72.04, 15

***

(2)
CrN2: theoretical PXRD pattern (Cu Kα X-rays), based on a DFT-relaxed cell (PBE, the Materials Project).

Structural model:
```
12
Lattice="5.3959 0.0000 0.0000 2.6855 5.0958 0.0000 0.7202 1.2293 6.0606" Properties=species:S:1:pos:R:3 pbc="T T T"
Cr 0.0000 0.0000 0.0000
Cr 1.1517 1.7256 1.8065
Cr 2.5449 3.5467 5.0558
Cr 4.6115 4.1497 2.4042
N 1.3250 2.3609 4.8042
N 2.3941 1.9792 0.5724
N 2.0809 0.7192 2.8900
N 3.9047 4.1009 0.7687
N 3.6621 3.4736 3.6885
N 4.9731 1.0978 1.2826
N 6.1669 3.3364 2.3988
N 7.5895 5.2865 5.3782
```

Main lines, low angle first (10° ≤ 2θ ≤ 90°):
2θ (°), I/Imax
14.62, 26
18.59, 100
19.00, 26
21.62, 36
23.60, 45
23.85, 31
26.27, 75
31.27, 40
31.89, 25
32.04, 36
36.09, 37
37.67, 29

***

(3)
Gd2TeO6: theoretical PXRD pattern (Cu Kα X-rays), based on a DFT-relaxed cell (PBE, the Materials Project).

Structural model:
```
36
Lattice="5.3782 0.0000 0.0000 0.0000 9.2656 0.0000 0.0000 0.0000 10.1565" Properties=species:S:1:pos:R:3 pbc="T T T"
Gd 0.1103 0.9602 0.3971
Gd 0.1977 2.0091 6.4629
Gd 2.4914 7.2564 1.3847
Gd 2.5788 8.3053 5.4753
Gd 2.7995 3.6725 9.7594
Gd 2.8869 2.6236 3.6936
Gd 5.1805 6.6419 8.7718
Gd 5.2679 5.5930 4.6812
Te 0.2078 4.5897 1.4898
Te 2.4813 4.6758 6.5681
Te 2.8970 0.0430 8.6667
Te 5.1704 9.2225 3.5884
O 0.4545 7.8406 4.7883
O 0.9029 8.7912 2.0741
O 0.9968 5.9236 6.8842
O 0.9931 5.9278 2.6394
O 1.2349 1.0528 4.3875
O 1.3089 5.4227 0.0642
O 1.3802 3.8429 5.1425
O 1.4542 8.2128 9.4658
O 1.6960 3.3378 7.7176
O 1.6923 3.3420 1.8059
O 1.7862 0.4743 7.1523
O 2.2346 1.4249 9.8666
O 3.1436 6.0577 5.3682
O 3.5920 5.1071 8.0824
O 3.6822 7.9705 7.5171
O 3.6859 7.9748 3.2723
O 3.9240 3.5800 5.7690
O 3.9980 8.4757 10.0923
O 4.0693 0.7899 5.0140
O 4.1433 5.6856 0.6907
O 4.3814 1.2908 8.3506
O 4.3851 1.2950 2.4389
O 4.4753 4.1585 3.0042
O 4.9237 3.2078 0.2899
```

Main lines, low angle first (10° ≤ 2θ ≤ 90°):
2θ (°), I/Imax
25.37, 49
25.98, 87
26.87, 100
28.06, 32
30.25, 32
32.72, 59
33.32, 36
33.97, 25
44.10, 23
45.61, 30
48.32, 23
53.03, 34